For CaErP2Rh5, a GGA-PBE-relaxed structure gives the computed powder diffractogram in this record (Cu Kα X-rays).

Structure:
a = 4.0170 Å, b = 4.0170 Å, c = 10.7981 Å
α = 90.00°, β = 90.00°, γ = 90.00°
Fractional positions:
Ca: 0.0000 0.0000 0.0000
Er: 0.0000 0.0000 0.5000
P: 0.5000 0.5000 0.2083
P: 0.5000 0.5000 0.7917
Rh: 0.0000 0.5000 0.3069
Rh: 0.0000 0.5000 0.6931
Rh: 0.5000 0.0000 0.3069
Rh: 0.5000 0.0000 0.6931
Rh: 0.5000 0.5000 0.0000

Main lines, low angle first (10° ≤ 2θ ≤ 90°):
- 2θ = 23.6°, I = 51.7, hkl 1 0 1
- 2θ = 24.7°, I = 19.2, hkl 0 0 3
- 2θ = 27.7°, I = 14.3, hkl 1 0 2
- 2θ = 33.2°, I = 14.8, hkl 0 0 4
- 2θ = 35.7°, I = 100.0, hkl 1 1 2
- 2θ = 40.5°, I = 39.2, hkl 1 1 3
- 2θ = 45.1°, I = 48.2, hkl 2 0 0
- 2θ = 53.3°, I = 18.6, hkl 1 1 5
- 2θ = 65.8°, I = 15.3, hkl 2 2 0
- 2θ = 77.1°, I = 20.5, hkl 3 1 2

***

For CaErPb6, a GGA-PBE-relaxed structure gives the computed powder diffractogram in this record (Cu Kα X-rays).

Structure:
a = 4.8915 Å, b = 4.8915 Å, c = 9.8367 Å
α = 90.00°, β = 90.00°, γ = 90.00°
Fractional positions:
Ca: 0.0000 0.0000 0.0000
Er: 0.0000 0.0000 0.5000
Pb: 0.0000 0.5000 0.2529
Pb: 0.0000 0.5000 0.7471
Pb: 0.5000 0.0000 0.2529
Pb: 0.5000 0.0000 0.7471
Pb: 0.5000 0.5000 0.0000
Pb: 0.5000 0.5000 0.5000

Main lines, low angle first (10° ≤ 2θ ≤ 90°):
- 2θ = 31.6°, I = 100.0, hkl 1 1 2
- 2θ = 36.5°, I = 17.1, hkl 0 0 4
- 2θ = 36.7°, I = 33.8, hkl 2 0 0
- 2θ = 52.8°, I = 24.2, hkl 2 0 4
- 2θ = 52.9°, I = 12.0, hkl 2 2 0
- 2θ = 62.7°, I = 14.5, hkl 1 1 6
- 2θ = 63.0°, I = 28.8, hkl 3 1 2
- 2θ = 66.0°, I = 12.5, hkl 2 2 4
- 2θ = 86.5°, I = 12.6, hkl 3 1 6
- 2θ = 86.8°, I = 6.3, hkl 3 3 2